Theoretical powder X-ray diffraction pattern of Li3V4FeO12 for Cu Ka, from the GGA+U geometry in Alexandria.
Intensities are scaled so that the largest is 100.

Structural model:
a = 5.0491 Å, b = 5.3532 Å, c = 7.4159 Å
α = 95.31°, β = 90.55°, γ = 90.22°
Positions (direct):
Li 0.0000 0.0000 0.0000
Li 0.0121 0.0025 0.4974
Li 0.5085 0.5006 0.4987
V 0.0148 0.4385 0.2950
V 0.5003 0.9276 0.7670
V 0.5115 0.9434 0.2803
V 0.9927 0.4236 0.7833
Fe 0.5024 0.5134 0.9970
O 0.1385 0.3929 0.0417
O 0.1955 0.7065 0.3657
O 0.2013 0.0824 0.7390
O 0.3154 0.2004 0.3616
O 0.3300 0.5982 0.7535
O 0.3781 0.8901 0.0585
O 0.6283 0.8980 0.5503
O 0.6735 0.5876 0.2378
O 0.6856 0.2129 0.8729
O 0.7926 0.7133 0.8731
O 0.8126 0.0899 0.2450
O 0.8901 0.3951 0.5534

Main lines, by angle (10 to 90 degrees two-theta):
2θ = 24.11°, d 3.692, I 94, hkl 0 0 2; 2θ = 24.22°, d 3.674, I 100, hkl 1 -1 0; 2θ = 24.34°, d 3.657, I 96, hkl 1 1 0; 2θ = 33.24°, d 2.695, I 78, hkl 1 1 -2; 2θ = 33.42°, d 2.681, I 73, hkl 1 -1 2; 2θ = 33.63°, d 2.665, I 70, hkl 0 2 0; 2θ = 40.93°, d 2.205, I 73, hkl 2 1 -1; 2θ = 54.37°, d 1.687, I 49, hkl 2 2 -2